Structure and computed powder diffraction line list of Sn3P2O8 (a cell relaxed with GGA-PBE; Cu Ka).
Peak positions follow from Bragg's law for the DFT cell and can differ from measured ones.

Peak list (10 most intense, 10° ≤ 2θ ≤ 90°, by intensity)
- 26.59°, intensity 100.0, hkl 2 1 2
- 25.31°, intensity 77.0, hkl 2 0 -4
- 21.92°, intensity 54.3, hkl 1 1 -2
- 23.19°, intensity 37.3, hkl 1 0 4
- 36.92°, intensity 31.2, hkl 0 1 6
- 23.37°, intensity 28.9, hkl 3 0 0
- 37.15°, intensity 20.2, hkl 4 1 -2
- 36.22°, intensity 19.2, hkl 0 2 0
- 39.62°, intensity 16.1, hkl 4 0 4
- 25.64°, intensity 15.0, hkl 1 1 3

Atomic structure:
```
Sn3P2O8
1.0
11.4552 0.0000 0.0000
0.0000 4.9602 0.0000
-1.3714 0.0000 16.7704
Sn P O
12 8 32
direct
0.0192 0.2222 0.3677 Sn
0.0192 0.2778 0.8677 Sn
0.3074 0.7465 0.7839 Sn
0.3074 0.7535 0.2839 Sn
0.3573 0.1204 0.5365 Sn
0.3573 0.3796 0.0365 Sn
0.6427 0.6204 0.9635 Sn
0.6427 0.8796 0.4635 Sn
0.6926 0.2465 0.7161 Sn
0.6926 0.2535 0.2161 Sn
0.9808 0.7222 0.1323 Sn
0.9808 0.7778 0.6323 Sn
0.1495 0.6959 0.4732 P
0.1495 0.8041 0.9732 P
0.4780 0.2148 0.8524 P
0.4780 0.2852 0.3524 P
0.5220 0.7148 0.6476 P
0.5220 0.7852 0.1476 P
0.8505 0.1959 0.0268 P
0.8505 0.3041 0.5268 P
0.0546 0.6760 0.9134 O
0.0546 0.8240 0.4134 O
0.1259 0.7481 0.5613 O
0.1259 0.7519 0.0613 O
0.1489 0.1137 0.9553 O
0.1489 0.3863 0.4553 O
0.2735 0.6920 0.9602 O
0.2735 0.8080 0.4602 O
0.3723 0.1581 0.3026 O
0.3723 0.3419 0.8026 O
0.4017 0.7084 0.1767 O
0.4017 0.7916 0.6767 O
0.4591 0.5944 0.3526 O
0.4591 0.9056 0.8526 O
0.4858 0.1742 0.4406 O
0.4858 0.3258 0.9406 O
0.5142 0.6742 0.0594 O
0.5142 0.8258 0.5594 O
0.5409 0.0944 0.1474 O
0.5409 0.4056 0.6474 O
0.5983 0.2084 0.3233 O
0.5983 0.2916 0.8233 O
0.6277 0.6581 0.1974 O
0.6277 0.8419 0.6974 O
0.7265 0.1920 0.5398 O
0.7265 0.3080 0.0398 O
0.8511 0.6137 0.5447 O
0.8511 0.8863 0.0447 O
0.8741 0.2481 0.9387 O
0.8741 0.2519 0.4387 O
0.9454 0.1760 0.5866 O
0.9454 0.3240 0.0866 O
```

Structure and computed powder diffraction line list of SnP2O7 (a cell relaxed with GGA-PBE; Cu Ka).
Peak positions follow from Bragg's law for the DFT cell and can differ from measured ones.

Peak list (10 most intense, 10° ≤ 2θ ≤ 90°, by intensity)
- 22.08°, intensity 100.0, hkl 1 1 -2
- 14.28°, intensity 70.4, hkl 0 0 2
- 22.54°, intensity 59.1, hkl 2 0 0
- 31.24°, intensity 34.5, hkl 1 1 -4
- 35.33°, intensity 17.8, hkl 3 1 -2
- 39.53°, intensity 15.0, hkl 2 0 -6
- 34.67°, intensity 14.0, hkl 0 2 0
- 27.81°, intensity 13.4, hkl 1 1 2
- 31.71°, intensity 13.2, hkl 2 0 2
- 62.53°, intensity 12.2, hkl 3 3 -2

Atomic structure:
```
SnP2O7
1.0
8.7498 0.0000 0.0000
0.0000 5.1749 0.0000
-5.9515 0.0000 12.4063
Sn P O
4 8 28
direct
0.2353 0.2457 0.4740 Sn
0.2353 0.2543 0.9740 Sn
0.7647 0.7457 0.0260 Sn
0.7647 0.7543 0.5260 Sn
0.1913 0.7486 0.1175 P
0.1913 0.7514 0.6175 P
0.3299 0.7424 0.3605 P
0.3299 0.7576 0.8605 P
0.6701 0.2424 0.1395 P
0.6701 0.2576 0.6395 P
0.8087 0.2486 0.3825 P
0.8087 0.2514 0.8825 P
0.0176 0.6598 0.6048 O
0.0176 0.8402 0.1048 O
0.1917 0.0372 0.5880 O
0.1917 0.4628 0.0880 O
0.2051 0.5708 0.8758 O
0.2051 0.9292 0.3758 O
0.2718 0.5815 0.5619 O
0.2718 0.9185 0.0619 O
0.2814 0.0417 0.8629 O
0.2814 0.4583 0.3629 O
0.3190 0.7171 0.7422 O
0.3190 0.7829 0.2422 O
0.4890 0.1876 0.5652 O
0.4890 0.3124 0.0652 O
0.5110 0.6876 0.9348 O
0.5110 0.8124 0.4348 O
0.6810 0.2171 0.7578 O
0.6810 0.2829 0.2578 O
0.7186 0.5417 0.6371 O
0.7186 0.9583 0.1371 O
0.7282 0.0815 0.9381 O
0.7282 0.4185 0.4381 O
0.7949 0.0708 0.6242 O
0.7949 0.4292 0.1242 O
0.8083 0.5372 0.9120 O
0.8083 0.9628 0.4120 O
0.9824 0.1598 0.8952 O
0.9824 0.3402 0.3952 O
```

Structure and computed powder diffraction line list of Sn4P2O9 (a cell relaxed with GGA-PBE; Cu Ka).
Peak positions follow from Bragg's law for the DFT cell and can differ from measured ones.

Peak list (10 most intense, 10° ≤ 2θ ≤ 90°, by intensity)
- 25.51°, intensity 100.0, hkl 0 0 4
- 28.33°, intensity 71.4, hkl 0 3 1
- 30.17°, intensity 71.2, hkl 2 2 -1
- 20.91°, intensity 59.8, hkl 1 1 -3
- 26.94°, intensity 52.7, hkl 2 1 0
- 30.45°, intensity 38.3, hkl 2 1 -4
- 33.74°, intensity 35.3, hkl 0 3 3
- 49.08°, intensity 21.3, hkl 4 0 -4
- 23.34°, intensity 21.2, hkl 1 2 -2
- 49.77°, intensity 19.8, hkl 3 3 -5

Atomic structure:
```
Sn4P2O9
1.0
7.5241 0.0000 0.0000
0.0000 9.7014 0.0000
-5.2653 0.0000 13.9660
Sn P O
16 8 36
direct
0.0993 0.1792 0.3965 Sn
0.0993 0.3208 0.8965 Sn
0.1677 0.1207 0.6718 Sn
0.1677 0.3793 0.1718 Sn
0.3470 0.0200 0.1175 Sn
0.3470 0.4800 0.6175 Sn
0.3564 0.6621 0.9059 Sn
0.3564 0.8379 0.4059 Sn
0.6436 0.1621 0.5941 Sn
0.6436 0.3379 0.0941 Sn
0.6530 0.5200 0.3825 Sn
0.6530 0.9800 0.8825 Sn
0.8323 0.6207 0.8282 Sn
0.8323 0.8793 0.3282 Sn
0.9007 0.6792 0.1035 Sn
0.9007 0.8208 0.6035 Sn
0.0737 0.5734 0.3402 P
0.0737 0.9266 0.8402 P
0.4083 0.6614 0.1473 P
0.4083 0.8386 0.6473 P
0.5917 0.1614 0.3527 P
0.5917 0.3386 0.8527 P
0.9263 0.0734 0.1598 P
0.9263 0.4266 0.6598 P
0.0184 0.1869 0.2393 O
0.0184 0.3131 0.7393 O
0.0792 0.5146 0.6397 O
0.0792 0.9854 0.1397 O
0.1140 0.5390 0.8860 O
0.1140 0.9610 0.3860 O
0.1927 0.6558 0.4310 O
0.1927 0.8442 0.9310 O
0.1978 0.6114 0.1239 O
0.1978 0.8886 0.6239 O
0.2049 0.0234 0.8082 O
0.2049 0.4766 0.3082 O
0.4254 0.6838 0.6714 O
0.4254 0.8162 0.1714 O
0.4626 0.0759 0.2679 O
0.4626 0.4241 0.7679 O
0.4714 0.6276 0.0607 O
0.4714 0.8724 0.5607 O
0.5286 0.1276 0.4393 O
0.5286 0.3724 0.9393 O
0.5374 0.5759 0.2321 O
0.5374 0.9241 0.7321 O
0.5746 0.1838 0.8286 O
0.5746 0.3162 0.3286 O
0.7951 0.5234 0.6918 O
0.7951 0.9766 0.1918 O
0.8022 0.1114 0.3761 O
0.8022 0.3886 0.8761 O
0.8073 0.1558 0.0690 O
0.8073 0.3442 0.5690 O
0.8860 0.0390 0.6140 O
0.8860 0.4610 0.1140 O
0.9208 0.0146 0.8603 O
0.9208 0.4854 0.3603 O
0.9816 0.6869 0.2607 O
0.9816 0.8131 0.7607 O
```

Structure and computed powder diffraction line list of Sn4P2O9 (a cell relaxed with GGA-PBE; Cu Ka).
Peak positions follow from Bragg's law for the DFT cell and can differ from measured ones.

Peak list (10 most intense, 10° ≤ 2θ ≤ 90°, by intensity)
- 25.37°, intensity 100.0, hkl 0 2 -1
- 20.92°, intensity 79.6, hkl 0 1 2
- 29.46°, intensity 74.8, hkl 2 1 -1
- 22.10°, intensity 69.7, hkl 0 2 1
- 29.63°, intensity 68.1, hkl 2 1 2
- 26.73°, intensity 50.0, hkl 0 2 2
- 28.23°, intensity 47.9, hkl 2 0 1
- 33.70°, intensity 41.6, hkl 2 3 1
- 21.59°, intensity 35.6, hkl 1 1 2
- 24.34°, intensity 33.0, hkl 0 1 -2

Atomic structure:
```
Sn4P2O9
1.0
7.0275 0.0000 0.0000
3.3198 8.3768 0.0000
1.6621 1.6067 8.9083
Sn P O
8 4 18
direct
0.1201 0.2819 0.4141 Sn
0.1350 0.0177 0.1277 Sn
0.2291 0.4397 0.8554 Sn
0.3646 0.7553 0.5906 Sn
0.6354 0.2447 0.4094 Sn
0.7709 0.5603 0.1446 Sn
0.8650 0.9823 0.8723 Sn
0.8799 0.7181 0.5859 Sn
0.2450 0.6162 0.2618 P
0.3848 0.0959 0.7578 P
0.6152 0.9041 0.2422 P
0.7550 0.3838 0.7382 P
0.1039 0.5213 0.2497 O
0.1139 0.6855 0.7191 O
0.1775 0.6775 0.4158 O
0.2383 0.7545 0.1259 O
0.2759 0.0190 0.6827 O
0.3128 0.0947 0.9282 O
0.3375 0.2813 0.6857 O
0.3744 0.9931 0.2638 O
0.4739 0.4949 0.2614 O
0.5261 0.5051 0.7386 O
0.6256 0.0069 0.7362 O
0.6625 0.7187 0.3143 O
0.6872 0.9053 0.0718 O
0.7241 0.9810 0.3173 O
0.7617 0.2455 0.8741 O
0.8225 0.3225 0.5842 O
0.8861 0.3145 0.2809 O
0.8961 0.4787 0.7503 O
```

Structure and computed powder diffraction line list of SrZnSnP2O8 (a cell relaxed with GGA-PBE; Cu Ka).
Peak positions follow from Bragg's law for the DFT cell and can differ from measured ones.

Peak list (10 most intense, 10° ≤ 2θ ≤ 90°, by intensity)
- 26.59°, intensity 100.0, hkl 0 2 0
- 29.09°, intensity 70.6, hkl 1 1 -3
- 29.81°, intensity 40.7, hkl 1 0 2
- 27.99°, intensity 40.0, hkl 1 -1 2
- 32.42°, intensity 39.3, hkl 2 0 -1
- 32.27°, intensity 30.1, hkl 1 -2 2
- 34.75°, intensity 29.2, hkl -1 1 3
- 44.40°, intensity 24.4, hkl 1 3 -3
- 36.55°, intensity 23.7, hkl 0 1 3
- 21.14°, intensity 21.9, hkl -1 1 1

Atomic structure:
```
SrZnSnP2O8
1.0
5.5649 0.0000 0.0000
-0.8659 7.1499 0.0000
-2.6240 -3.3677 9.0812
Sr Zn Sn P O
2 2 2 4 16
direct
0.1984 0.2508 0.4625 Sr
0.8016 0.7492 0.5375 Sr
0.3809 0.2180 0.8616 Zn
0.6191 0.7820 0.1384 Zn
0.0418 0.7474 0.9206 Sn
0.9582 0.2526 0.0794 Sn
0.1555 0.7014 0.2873 P
0.4639 0.7684 0.7800 P
0.5361 0.2316 0.2200 P
0.8445 0.2986 0.7127 P
0.0657 0.3206 0.8552 O
0.1199 0.4886 0.3008 O
0.1273 0.8592 0.4212 O
0.2669 0.1143 0.1996 O
0.2722 0.9155 0.7971 O
0.3582 0.6081 0.6282 O
0.4245 0.7506 0.2704 O
0.4833 0.6860 0.9107 O
0.5167 0.3140 0.0893 O
0.5755 0.2494 0.7296 O
0.6418 0.3919 0.3718 O
0.7278 0.0845 0.2029 O
0.7331 0.8857 0.8004 O
0.8727 0.1408 0.5788 O
0.8801 0.5114 0.6992 O
0.9343 0.6794 0.1448 O
```

Structure and computed powder diffraction line list of TiSnP2O8 (a cell relaxed with GGA-PBE; Cu Ka).
Peak positions follow from Bragg's law for the DFT cell and can differ from measured ones.

Peak list (10 most intense, 10° ≤ 2θ ≤ 90°, by intensity)
- 16.22°, intensity 100.0, hkl 0 0 2
- 24.22°, intensity 67.2, hkl 1 1 1
- 28.62°, intensity 63.0, hkl 0 2 0
- 33.12°, intensity 43.9, hkl 1 1 -3
- 19.52°, intensity 41.8, hkl 1 0 1
- 23.59°, intensity 40.8, hkl 1 0 -2
- 33.92°, intensity 37.8, hkl 1 1 3
- 23.87°, intensity 32.9, hkl 1 1 -1
- 56.79°, intensity 18.2, hkl 2 1 -5
- 48.11°, intensity 18.1, hkl 1 3 1

Atomic structure:
```
TiSnP2O8
1.0
5.0711 0.0000 0.0000
0.0000 6.2376 0.0000
-0.3214 0.0000 10.9289
Ti Sn P O
2 2 4 16
direct
0.0672 0.2500 0.2047 Ti
0.9328 0.7500 0.7953 Ti
0.4638 0.2500 0.7247 Sn
0.5362 0.7500 0.2753 Sn
0.0514 0.7500 0.0880 P
0.3367 0.7500 0.6318 P
0.6633 0.2500 0.3682 P
0.9486 0.2500 0.9120 P
0.1207 0.7500 0.9497 O
0.1756 0.5636 0.6953 O
0.1756 0.9364 0.6953 O
0.1915 0.5511 0.1511 O
0.1915 0.9489 0.1511 O
0.2458 0.2500 0.8982 O
0.3326 0.7500 0.4959 O
0.3752 0.2500 0.3102 O
0.6248 0.7500 0.6898 O
0.6674 0.2500 0.5041 O
0.7542 0.7500 0.1018 O
0.8085 0.0511 0.8489 O
0.8085 0.4489 0.8489 O
0.8244 0.0636 0.3047 O
0.8244 0.4364 0.3047 O
0.8793 0.2500 0.0503 O
```